# 1
Structure and calculated powder diffractogram of TiSn3Rh (a structure optimized by DFT (PBE); Cu Kα, 1.54184 Å).
Kinematic intensities with the Lorentz-polarization factor, no thermal factor.

Atomic structure:
Lattice parameters (Å, degrees): 5.075 5.075 5.075 90.00 90.00 90.00
Sites, in units of the cell vectors:
Ti 0.000 0.000 0.000
Sn 0.000 0.500 0.500
Sn 0.500 0.000 0.500
Sn 0.500 0.500 0.000
Rh 0.500 0.500 0.500

Peak list (10 most intense, 15° ≤ 2θ ≤ 90°, in order of rising 2θ)
(1 0 0), 17.47 deg, d = 5.075 Å, intensity 68; (1 1 1), 30.51 deg, d = 2.930 Å, intensity 69; (2 0 0), 35.37 deg, d = 2.538 Å, intensity 100; (2 1 0), 39.71 deg, d = 2.270 Å, intensity 35; (2 2 0), 50.89 deg, d = 1.794 Å, intensity 71; (3 0 0), 54.22 deg, d = 1.692 Å, intensity 18; (3 1 1), 60.50 deg, d = 1.530 Å, intensity 31; (2 2 2), 63.50 deg, d = 1.465 Å, intensity 25; (3 3 1), 82.92 deg, d = 1.164 Å, intensity 14; (4 2 0), 85.58 deg, d = 1.135 Å, intensity 34

# 2
Structure and calculated powder diffractogram of La3NdSn2S (a structure optimized by DFT (PBE); Cu Kα, 1.54184 Å).
Kinematic intensities with the Lorentz-polarization factor, no thermal factor.

Atomic structure:
Lattice parameters (Å, degrees): 5.305 5.344 16.829 90.00 90.00 90.00
Sites, in units of the cell vectors:
La 0.000 0.000 0.000
La 0.000 0.500 0.172
La 0.000 0.500 0.828
La 0.500 0.000 0.328
La 0.500 0.000 0.672
La 0.500 0.500 0.500
Nd 0.000 0.000 0.500
Nd 0.500 0.500 0.000
Sn 0.000 0.500 0.367
Sn 0.000 0.500 0.633
Sn 0.500 0.000 0.133
Sn 0.500 0.000 0.867
S 0.000 0.500 0.000
S 0.500 0.000 0.500

Peak list (10 most intense, 15° ≤ 2θ ≤ 90°, in order of rising 2θ)
(1 1 0), 23.63 deg, d = 3.765 Å, intensity 17; (1 1 2), 25.93 deg, d = 3.437 Å, intensity 67; (0 1 5), 31.44 deg, d = 2.845 Å, intensity 25; (0 0 6), 31.90 deg, d = 2.805 Å, intensity 100; (0 2 0), 33.54 deg, d = 2.672 Å, intensity 33; (2 0 0), 33.79 deg, d = 2.652 Å, intensity 32; (0 2 6), 46.96 deg, d = 1.935 Å, intensity 16; (2 0 6), 47.16 deg, d = 1.927 Å, intensity 16; (2 2 0), 48.35 deg, d = 1.883 Å, intensity 24; (2 2 6), 59.10 deg, d = 1.563 Å, intensity 16

# 3
Structure and calculated powder diffractogram of TeSBr (a structure optimized by DFT (PBE); Cu Kα, 1.54184 Å).
Kinematic intensities with the Lorentz-polarization factor, no thermal factor.

Atomic structure:
Lattice parameters (Å, degrees): 6.822 9.071 8.063 90.00 96.35 90.00
Sites, in units of the cell vectors:
Te 0.049 0.097 0.296
Te 0.049 0.403 0.796
Te 0.951 0.597 0.204
Te 0.951 0.903 0.704
S 0.237 0.092 0.544
S 0.237 0.408 0.044
S 0.763 0.592 0.956
S 0.763 0.908 0.456
Br 0.205 0.645 0.641
Br 0.205 0.855 0.141
Br 0.795 0.145 0.859
Br 0.795 0.355 0.359

Peak list (10 most intense, 15° ≤ 2θ ≤ 90°, in order of rising 2θ)
(1 1 1), 20.55 deg, d = 4.321 Å, intensity 35; (0 0 2), 22.19 deg, d = 4.007 Å, intensity 18; (0 1 2), 24.28 deg, d = 3.665 Å, intensity 31; (1 2 -1), 25.49 deg, d = 3.495 Å, intensity 100; (1 0 2), 27.07 deg, d = 3.294 Å, intensity 42; (2 1 1), 31.36 deg, d = 2.853 Å, intensity 19; (2 2 -1), 33.90 deg, d = 2.644 Å, intensity 68; (0 2 3), 39.14 deg, d = 2.302 Å, intensity 18; (0 4 0), 39.75 deg, d = 2.268 Å, intensity 17; (1 2 -3), 40.16 deg, d = 2.246 Å, intensity 23